Structure and theoretical powder diffractogram of MgV4P2O13 (a cell relaxed with GGA+U; λ = 1.5418 Å (Cu Kα)).

Lattice parameters (Å, degrees): 4.9805 5.2445 8.8837 91.52 99.03 101.41
Sites, in units of the cell vectors:
Mg1 0.0000 0.0000 0.0000
V1 0.0774 0.7985 0.2949
V2 0.2443 0.5544 0.9195
V3 0.3932 0.3311 0.5224
V4 0.5457 0.1207 0.8352
P1 0.6187 0.2495 0.2046
P2 0.8890 0.8582 0.6270
O1 0.0689 0.9886 0.5076
O2 0.0883 0.8639 0.7849
O3 0.1671 0.7303 0.1006
O4 0.2360 0.5414 0.4227
O5 0.3541 0.3618 0.7358
O6 0.4184 0.2403 0.0413
O7 0.4348 0.1265 0.3239
O8 0.5877 0.8200 0.9164
O9 0.6596 0.0209 0.6382
O10 0.7256 0.5372 0.2513
O11 0.7631 0.5752 0.5735
O12 0.8439 0.0904 0.1919
O13 0.8948 0.3105 0.8994

Top 12 peaks for 15° ≤ 2θ ≤ 90°, by angle:
d [Å], Position (°2θ), intensity, index
3.939, 22.6, 29, 1 -1 0
3.545, 25.1, 19, 1 0 -2
3.475, 25.6, 77, 1 -1 1
3.200, 27.9, 100, 1 1 0
3.067, 29.1, 67, -1 1 2
3.002, 29.8, 20, 1 0 2
2.919, 30.6, 29, 0 0 3
2.702, 33.1, 25, 1 0 -3
2.605, 34.4, 18, 0 1 -3
2.136, 42.3, 32, 1 -2 2
2.026, 44.7, 31, 2 1 0
1.991, 45.6, 39, -1 1 4


Structure and theoretical powder diffractogram of MgV2P2O10 (a cell relaxed with GGA+U; λ = 1.5418 Å (Cu Kα)).

Lattice parameters (Å, degrees): 4.7311 6.3640 6.3666 88.73 86.86 86.30
Sites, in units of the cell vectors:
Mg1 0.0000 0.0000 0.0000
V1 0.4143 0.2482 0.2463
V2 0.5857 0.7518 0.7537
P1 0.5000 0.2521 0.7487
P2 0.5000 0.7479 0.2513
O1 0.2391 0.7962 0.7964
O2 0.2830 0.2374 0.9437
O3 0.2833 0.9454 0.2406
O4 0.3315 0.5519 0.2356
O5 0.3330 0.2469 0.5500
O6 0.6670 0.7531 0.4500
O7 0.6685 0.4481 0.7644
O8 0.7167 0.0546 0.7594
O9 0.7170 0.7626 0.0563
O10 0.7609 0.2038 0.2036

Top 12 peaks for 15° ≤ 2θ ≤ 90°, by angle:
d [Å], Position (°2θ), intensity, index
4.714, 18.8, 100, 1 0 0
3.693, 24.1, 16, 1 0 -1
3.675, 24.2, 16, 1 -1 0
3.176, 28.1, 79, 0 2 0
2.714, 33.0, 28, 1 2 0
2.703, 33.1, 27, 1 0 2
2.572, 34.9, 18, 1 0 -2
2.559, 35.1, 17, 1 -2 0
1.978, 45.9, 9, 1 3 0
1.972, 46.0, 9, 1 0 3
1.589, 58.0, 10, 0 0 4
1.587, 58.1, 10, 0 4 0


Structure and theoretical powder diffractogram of MgV3P4O14 (a cell relaxed with GGA+U; λ = 1.5418 Å (Cu Kα)).

Lattice parameters (Å, degrees): 7.4571 7.7355 9.5519 90.00 111.68 90.00
Sites, in units of the cell vectors:
Mg1 0.0000 0.0000 0.0000
Mg2 0.0000 0.5000 0.5000
V1 0.3103 0.1286 0.4768
V2 0.3103 0.3714 0.9768
V3 0.5000 0.0000 0.0000
V4 0.5000 0.5000 0.5000
V5 0.6897 0.6286 0.0232
V6 0.6897 0.8714 0.5232
P1 0.0920 0.0716 0.7082
P2 0.0920 0.4284 0.2082
P3 0.3633 0.7079 0.1845
P4 0.3633 0.7921 0.6845
P5 0.6367 0.2079 0.3155
P6 0.6367 0.2921 0.8155
P7 0.9080 0.5716 0.7918
P8 0.9080 0.9284 0.2918
O1 0.1084 0.5268 0.7966
O2 0.1084 0.9732 0.2966
O3 0.1141 0.2037 0.5964
O4 0.1141 0.2963 0.0964
O5 0.1680 0.6130 0.1737
O6 0.1680 0.8870 0.6737
O7 0.2185 0.1168 0.8754
O8 0.2185 0.3832 0.3754
O9 0.2981 0.6218 0.5978
O10 0.2981 0.8782 0.0978
O11 0.4625 0.5883 0.1074
O12 0.4625 0.9117 0.6074
O13 0.4810 0.7193 0.3540
O14 0.4810 0.7807 0.8540
O15 0.5190 0.2193 0.1460
O16 0.5190 0.2807 0.6460
O17 0.5375 0.0883 0.3926
O18 0.5375 0.4117 0.8926
O19 0.7019 0.1218 0.9022
O20 0.7019 0.3782 0.4022
O21 0.7815 0.6168 0.6246
O22 0.7815 0.8832 0.1246
O23 0.8320 0.1130 0.3263
O24 0.8320 0.3870 0.8263
O25 0.8859 0.7037 0.9036
O26 0.8859 0.7963 0.4036
O27 0.8916 0.0268 0.7034
O28 0.8916 0.4732 0.2034

Top 12 peaks for 15° ≤ 2θ ≤ 90°, by angle:
d [Å], Position (°2θ), intensity, index
5.115, 17.3, 25, 1 1 -1
3.849, 23.1, 17, 0 1 2
3.234, 27.6, 31, 1 0 2
3.120, 28.6, 66, 2 1 -2
2.983, 30.0, 100, 1 2 1
2.956, 30.2, 44, 1 2 -2
2.763, 32.4, 16, 0 1 3
2.704, 33.1, 19, 2 1 1
2.652, 33.8, 23, 2 1 -3
2.477, 36.3, 30, 0 3 1
2.454, 36.6, 30, 3 0 -2
1.689, 54.3, 17, 2 4 0


Structure and theoretical powder diffractogram of MgV2P2O10 (a cell relaxed with GGA+U; λ = 1.5418 Å (Cu Kα)).

Lattice parameters (Å, degrees): 6.3489 6.3489 5.2787 90.00 90.00 90.00
Sites, in units of the cell vectors:
Mg1 0.0000 0.0000 0.0000
V1 0.0000 0.5000 0.5773
V2 0.5000 0.0000 0.4227
P1 0.0000 0.0000 0.5000
P2 0.5000 0.5000 0.5000
O1 0.0000 0.5000 0.2691
O2 0.0115 0.1869 0.6884
O3 0.1869 0.9885 0.3116
O4 0.3006 0.5132 0.6713
O5 0.4868 0.3006 0.3287
O6 0.5000 0.0000 0.7309
O7 0.5132 0.6994 0.3287
O8 0.6994 0.4868 0.6713
O9 0.8131 0.0115 0.3116
O10 0.9885 0.8131 0.6884

Top 12 peaks for 15° ≤ 2θ ≤ 90°, by angle:
d [Å], Position (°2θ), intensity, index
5.279, 16.8, 100, 0 0 1
4.059, 21.9, 21, 1 0 1
3.174, 28.1, 84, 2 0 0
2.720, 32.9, 35, 2 0 1
2.501, 35.9, 10, 1 2 1
2.437, 36.9, 16, 1 0 2
2.029, 44.6, 8, 2 0 2
1.964, 46.2, 10, 3 0 1
1.710, 53.6, 12, 2 2 2
1.651, 55.7, 10, 3 0 2
1.587, 58.1, 13, 4 0 0
1.496, 62.0, 13, 1 2 3